Calculated powder diffractogram of Li3Cu5O4 for Cu Kα (weighted mean of Kα1 and Kα2), from the GGA-PBE geometry in the Materials Project.

Peak list (10 most intense, 2θ = 10–90°, by angle)
2theta	d (Å)	I_rel	index
15.2	5.825	1000	0 1 1
20.8	4.262	730	1 1 -2
24.4	3.649	716	2 0 0
27.9	3.198	383	2 1 0
29.5	3.024	213	1 2 0
34.8	2.579	698	1 2 -3
39.4	2.287	322	1 2 3
39.6	2.277	289	0 1 5
42.3	2.137	243	3 1 1
44.9	2.020	413	0 0 6

Crystal structure
a b c (Å): 7.6534 6.6418 12.7130
angles (deg): 90.00 107.57 90.00
Space group P2_1/c (No. 14)
Asymmetric unit:
1 Li 0.0671 0.1243 0.0721 [4 per cell]
2 Li 0.2589 0.7194 0.5640 [4 per cell]
3 Li 0.3629 0.0603 0.9216 [4 per cell]
4 Cu 0.0348 0.0720 0.4122 [4 per cell]
5 Cu 0.0604 0.6714 0.7430 [4 per cell]
6 Cu 0.3269 0.5286 0.8933 [4 per cell]
7 Cu 0.3733 0.1738 0.5866 [4 per cell]
8 Cu 0.4587 0.0586 0.2296 [4 per cell]
9 O 0.0241 0.6571 0.5943 [4 per cell]
10 O 0.1201 0.6913 0.8980 [4 per cell]
11 O 0.3798 0.0460 0.0766 [4 per cell]
12 O 0.4584 0.5955 0.1190 [4 per cell]

***

Calculated powder diffractogram of GaCo3 for Cu Kα (weighted mean of Kα1 and Kα2), from the GGA-PBE geometry in the Materials Project.

Peak list (8 most intense, 2θ = 10–90°, by angle)
2theta	d (Å)	I_rel	index
29.7	3.005	7	1 0 1
41.0	2.202	249	2 0 0
44.1	2.055	268	0 0 2
46.8	1.941	1000	2 0 1
61.7	1.503	137	2 0 2
74.7	1.271	150	2 2 0
83.0	1.163	167	2 0 3
88.9	1.101	24	4 0 0

Crystal structure
a b c (Å): 5.0857 5.0857 4.1105
angles (deg): 90.00 90.00 120.00
Space group P6_3/mmc (No. 194)
Asymmetric unit:
1 Ga 0.3333 0.6667 0.2500 [2 per cell]
2 Co 0.1657 0.3314 0.7500 [6 per cell]

***

Calculated powder diffractogram of Cs2NaUBr6 for Cu Kα (weighted mean of Kα1 and Kα2), from the GGA-PBE geometry in the Materials Project.

Peak list (10 most intense, 2θ = 10–90°, by angle)
2theta	d (Å)	I_rel	index
13.1	6.748	413	1 1 1
21.5	4.132	566	2 2 0
25.3	3.524	251	3 1 1
26.4	3.374	494	2 2 2
30.6	2.922	1000	4 0 0
37.7	2.386	282	4 2 2
43.8	2.066	728	4 4 0
54.4	1.687	253	4 4 4
72.3	1.307	321	8 4 0
80.5	1.193	241	8 4 4

Crystal structure
a b c (Å): 11.6872 11.6872 11.6872
angles (deg): 90.00 90.00 90.00
Space group Pa-3 (No. 205)
Asymmetric unit:
1 Cs 0.2491 0.2491 0.2491 [8 per cell]
2 Na 0.0000 0.0000 0.5000 [4 per cell]
3 U 0.0000 0.0000 0.0000 [4 per cell]
4 Br 0.0066 0.5068 0.7473 [24 per cell]